For Tb3SmRu4, a GGA-PBE-relaxed structure gives the calculated powder XRD pattern in this record (Cu Kα X-rays).
Neutral-atom scattering factors, no anomalous dispersion.

Main lines, in order of rising 2θ (2θ from 10° to 80°):
d/Å  two_theta  Rel. int.
3.426  26.0  4.9
2.422  37.1  100.0
1.978  45.9  1.6
1.713  53.5  17.3
1.532  60.4  2.1
1.398  66.9  35.1
1.211  79.1  10.9

Crystal structure
Lattice parameters (Å, degrees): 8.3898 8.3898 8.3898 33.56 33.56 33.56
Fractional coordinates of all 8 atoms:
Tb (0.0000, 0.0000, 0.0000)
Tb (0.2508, 0.2508, 0.2508)
Tb (0.7492, 0.7492, 0.7492)
Sm (0.5000, 0.5000, 0.5000)
Ru (0.1244, 0.1244, 0.1244)
Ru (0.3744, 0.3744, 0.3744)
Ru (0.6256, 0.6256, 0.6256)
Ru (0.8756, 0.8756, 0.8756)

=====

For Fe4Ni, a GGA-PBE-relaxed structure gives the calculated powder XRD pattern in this record (Cu Kα X-rays).
Neutral-atom scattering factors, no anomalous dispersion.

Main lines, in order of rising 2θ (2θ from 10° to 80°):
d/Å  two_theta  Rel. int.
2.029  44.7  100.0
2.008  45.2  48.4
1.450  64.2  7.7
1.420  65.8  14.2

Crystal structure
Lattice parameters (Å, degrees): 4.7182 4.7182 4.7182 95.42 95.42 144.20
Fractional coordinates of all 5 atoms:
Fe (0.1015, 0.3016, 0.4031)
Fe (0.3016, 0.8985, 0.2002)
Fe (0.6984, 0.1015, 0.7998)
Fe (0.8985, 0.6984, 0.5969)
Ni (0.5000, 0.5000, 0.0000)

=====

For Rb3I2O9, a GGA-PBE-relaxed structure gives the calculated powder XRD pattern in this record (Cu Kα X-rays).
Neutral-atom scattering factors, no anomalous dispersion.

Main lines, in order of rising 2θ (2θ from 10° to 80°):
d/Å  two_theta  Rel. int.
5.466  16.2  55.5
3.783  23.5  55.2
3.631  24.5  30.4
3.156  28.3  100.0
2.423  37.1  48.8
2.363  38.1  41.8
1.892  48.1  33.6
1.623  56.7  34.7

Crystal structure
Lattice parameters (Å, degrees): 8.2047 8.2047 8.2047 83.55 83.55 83.55
Fractional coordinates of all 28 atoms:
Rb (0.0918, 0.7500, 0.4082)
Rb (0.2500, 0.5918, 0.9082)
Rb (0.4082, 0.0918, 0.7500)
Rb (0.5918, 0.9082, 0.2500)
Rb (0.7500, 0.4082, 0.0918)
Rb (0.9082, 0.2500, 0.5918)
I (0.1553, 0.1553, 0.1553)
I (0.3447, 0.3447, 0.3447)
I (0.6553, 0.6553, 0.6553)
I (0.8447, 0.8447, 0.8447)
O (0.0448, 0.8962, 0.7451)
O (0.1038, 0.2549, 0.9552)
O (0.1192, 0.3808, 0.2500)
O (0.2451, 0.3962, 0.5448)
O (0.2500, 0.1192, 0.3808)
O (0.2549, 0.9552, 0.1038)
O (0.3808, 0.2500, 0.1192)
O (0.3962, 0.5448, 0.2451)
O (0.4552, 0.7549, 0.6038)
O (0.5448, 0.2451, 0.3962)
O (0.6038, 0.4552, 0.7549)
O (0.6192, 0.7500, 0.8808)
O (0.7451, 0.0448, 0.8962)
O (0.7500, 0.8808, 0.6192)
O (0.7549, 0.6038, 0.4552)
O (0.8808, 0.6192, 0.7500)
O (0.8962, 0.7451, 0.0448)
O (0.9552, 0.1038, 0.2549)

=====

For KAc2S3, a GGA-PBE-relaxed structure gives the calculated powder XRD pattern in this record (Cu Kα X-rays).
Neutral-atom scattering factors, no anomalous dispersion.

Main lines, in order of rising 2θ (2θ from 10° to 80°):
d/Å  two_theta  Rel. int.
3.709  24.0  40.6
3.360  26.5  100.0
3.119  28.6  24.6
2.875  31.1  38.4
2.176  41.5  38.5
2.066  43.8  34.4
1.877  48.5  26.0
1.827  49.9  18.7

Crystal structure
Lattice parameters (Å, degrees): 4.3527 4.3527 22.2253 90.00 90.00 120.00
Fractional coordinates of all 12 atoms:
K (0.0000, 0.0000, 0.2500)
K (0.0000, 0.0000, 0.7500)
Ac (0.3333, 0.6667, 0.0806)
Ac (0.3333, 0.6667, 0.4194)
Ac (0.6667, 0.3333, 0.5806)
Ac (0.6667, 0.3333, 0.9194)
S (0.0000, 0.0000, 0.0000)
S (0.0000, 0.0000, 0.5000)
S (0.3333, 0.6667, 0.6532)
S (0.3333, 0.6667, 0.8468)
S (0.6667, 0.3333, 0.1532)
S (0.6667, 0.3333, 0.3468)

=====

For La8Tb3Pr, a GGA-PBE-relaxed structure gives the calculated powder XRD pattern in this record (Cu Kα X-rays).
Neutral-atom scattering factors, no anomalous dispersion.

Main lines, in order of rising 2θ (2θ from 10° to 80°):
d/Å  two_theta  Rel. int.
3.573  24.9  32.4
3.029  29.5  100.0
2.954  30.3  77.1
2.941  30.4  50.4
2.555  35.1  28.4
2.455  36.6  25.7
2.242  40.2  21.6
1.572  58.7  35.4

Crystal structure
Lattice parameters (Å, degrees): 9.2751 9.2751 9.2751 139.89 121.79 73.05
Fractional coordinates of all 12 atoms:
La (0.0725, 0.5647, 0.1992)
La (0.0784, 0.7748, 0.0454)
La (0.2706, 0.2252, 0.3036)
La (0.3656, 0.8733, 0.8008)
La (0.6344, 0.4353, 0.5077)
La (0.7294, 0.0329, 0.9546)
La (0.9216, 0.9671, 0.6964)
La (0.9275, 0.1267, 0.4923)
Tb (0.3854, 0.3854, 0.0000)
Tb (0.5000, 0.0000, 0.5000)
Tb (0.6146, 0.6146, 0.0000)
Pr (0.0000, 0.5000, 0.5000)

=====

For NdDyNCl, a GGA-PBE-relaxed structure gives the calculated powder XRD pattern in this record (Cu Kα X-rays).
Neutral-atom scattering factors, no anomalous dispersion.

Main lines, in order of rising 2θ (2θ from 10° to 80°):
d/Å  two_theta  Rel. int.
7.011  12.6  31.4
3.094  28.9  68.6
2.688  33.3  74.5
2.510  35.8  100.0
2.337  38.5  22.0
1.806  50.5  39.9
1.746  52.4  26.2
1.429  65.3  27.9

Crystal structure
Lattice parameters (Å, degrees): 7.3149 7.3149 7.3149 28.59 28.59 28.59
Fractional coordinates of all 4 atoms:
Nd (0.0000, 0.0000, 0.0000)
Dy (0.7920, 0.7920, 0.7920)
N (0.4096, 0.4096, 0.4096)
Cl (0.2242, 0.2242, 0.2242)

=====

For PrMnRu, a GGA-PBE-relaxed structure gives the calculated powder XRD pattern in this record (Cu Kα X-rays).
Neutral-atom scattering factors, no anomalous dispersion.

Main lines, in order of rising 2θ (2θ from 10° to 80°):
d/Å  two_theta  Rel. int.
2.860  31.3  100.0
2.839  31.5  22.3
2.490  36.1  13.9
2.366  38.0  30.5
2.155  41.9  14.5
2.068  43.8  12.8
1.899  47.9  19.9
1.499  61.9  13.9

Crystal structure
Lattice parameters (Å, degrees): 6.2180 6.2180 6.2180 135.28 132.80 67.05
Fractional coordinates of all 6 atoms:
Pr (0.3799, 0.1299, 0.2500)
Pr (0.6201, 0.8701, 0.7500)
Mn (0.0000, 0.5000, 0.5000)
Mn (0.5000, 0.5000, 0.0000)
Ru (0.0564, 0.3064, 0.7500)
Ru (0.9436, 0.6936, 0.2500)

=====

For GaAg2Br5, a GGA-PBE-relaxed structure gives the calculated powder XRD pattern in this record (Cu Kα X-rays).
Neutral-atom scattering factors, no anomalous dispersion.

Main lines, in order of rising 2θ (2θ from 10° to 80°):
d/Å  two_theta  Rel. int.
6.193  14.3  40.4
5.643  15.7  100.0
3.945  22.5  36.3
3.825  23.3  43.0
2.759  32.4  43.0
2.602  34.5  25.1
2.480  36.2  37.8
2.204  40.9  22.7

Crystal structure
Lattice parameters (Å, degrees): 7.4203 7.6772 7.6813 94.58 116.93 117.00
Fractional coordinates of all 8 atoms:
Ga (0.0000, 0.0000, 0.0000)
Ag (0.5017, 0.5445, 0.4570)
Ag (0.5031, 0.1000, 0.9061)
Br (0.0272, 0.9332, 0.7004)
Br (0.4898, 0.2576, 0.2462)
Br (0.5128, 0.7582, 0.7414)
Br (0.9779, 0.3024, 0.0692)
Br (0.9985, 0.7928, 0.2059)

=====

For Li7Ga3, a GGA-PBE-relaxed structure gives the calculated powder XRD pattern in this record (Cu Kα X-rays).
Neutral-atom scattering factors, no anomalous dispersion.

Main lines, in order of rising 2θ (2θ from 10° to 80°):
d/Å  two_theta  Rel. int.
5.344  16.6  52.7
4.290  20.7  63.6
3.233  27.6  100.0
3.010  29.7  40.7
2.292  39.3  38.7
2.281  39.5  29.8
2.207  40.9  53.1
2.199  41.0  63.1

Crystal structure
Lattice parameters (Å, degrees): 6.8439 6.8439 5.4699 101.59 101.59 38.94
Fractional coordinates of all 10 atoms:
Li (0.0000, 0.0000, 0.0000)
Li (0.2018, 0.2018, 0.7990)
Li (0.3957, 0.3957, 0.1108)
Li (0.3976, 0.3976, 0.5924)
Li (0.6024, 0.6024, 0.4076)
Li (0.6043, 0.6043, 0.8892)
Li (0.7982, 0.7982, 0.2010)
Ga (0.0000, 0.0000, 0.5000)
Ga (0.1948, 0.1948, 0.3041)
Ga (0.8052, 0.8052, 0.6959)

=====

For Cd6Ag8Au, a GGA-PBE-relaxed structure gives the calculated powder XRD pattern in this record (Cu Kα X-rays).
Neutral-atom scattering factors, no anomalous dispersion.

Main lines, in order of rising 2θ (2θ from 10° to 80°):
d/Å  two_theta  Rel. int.
2.439  36.9  65.6
2.419  37.2  68.6
2.399  37.5  100.0
2.365  38.0  68.7
2.341  38.5  80.2
2.024  44.8  26.9
1.397  67.0  23.0
1.368  68.6  20.6

Crystal structure
Lattice parameters (Å, degrees): 7.4896 7.4896 7.4896 59.15 59.15 59.15
Fractional coordinates of all 15 atoms:
Cd (0.0361, 0.5560, 0.7699)
Cd (0.2301, 0.9639, 0.4440)
Cd (0.4440, 0.2301, 0.9639)
Cd (0.5560, 0.7699, 0.0361)
Cd (0.7699, 0.0361, 0.5560)
Cd (0.9639, 0.4440, 0.2301)
Ag (0.0797, 0.0797, 0.0797)
Ag (0.1653, 0.6178, 0.3115)
Ag (0.3115, 0.1653, 0.6178)
Ag (0.3822, 0.6885, 0.8347)
Ag (0.6178, 0.3115, 0.1653)
Ag (0.6885, 0.8347, 0.3822)
Ag (0.8347, 0.3822, 0.6885)
Ag (0.9203, 0.9203, 0.9203)
Au (0.5000, 0.5000, 0.5000)

=====

For Er4TlPd7, a GGA-PBE-relaxed structure gives the calculated powder XRD pattern in this record (Cu Kα X-rays).
Neutral-atom scattering factors, no anomalous dispersion.

Main lines, in order of rising 2θ (2θ from 10° to 80°):
d/Å  two_theta  Rel. int.
2.940  30.4  59.0
2.605  34.4  100.0
2.584  34.7  52.8
2.569  34.9  51.6
2.317  38.9  41.1
2.264  39.8  65.0
1.835  49.7  38.3
1.829  49.9  38.5

Crystal structure
Lattice parameters (Å, degrees): 6.0108 6.0108 10.3383 116.56 116.56 51.37
Fractional coordinates of all 12 atoms:
Er (0.0920, 0.0920, 0.2846)
Er (0.2882, 0.2882, 0.8652)
Er (0.7118, 0.7118, 0.1348)
Er (0.9080, 0.9080, 0.7154)
Tl (0.5000, 0.5000, 0.5000)
Pd (0.0000, 0.0000, 0.5000)
Pd (0.1335, 0.1335, 0.0226)
Pd (0.2877, 0.2877, 0.5942)
Pd (0.4258, 0.4258, 0.1816)
Pd (0.5742, 0.5742, 0.8184)
Pd (0.7123, 0.7123, 0.4058)
Pd (0.8665, 0.8665, 0.9774)

=====

For Cd5Hg8Bi, a GGA-PBE-relaxed structure gives the calculated powder XRD pattern in this record (Cu Kα X-rays).
Neutral-atom scattering factors, no anomalous dispersion.

Main lines, in order of rising 2θ (2θ from 10° to 80°):
d/Å  two_theta  Rel. int.
3.123  28.6  68.1
3.108  28.7  92.8
2.987  29.9  46.4
2.833  31.6  100.0
2.566  35.0  68.8
2.558  35.1  67.7
2.520  35.6  44.1
2.473  36.3  71.9

Crystal structure
Lattice parameters (Å, degrees): 7.6373 7.6373 9.1362 122.59 122.59 62.57
Fractional coordinates of all 14 atoms:
Cd (0.0000, 0.0000, 0.0000)
Cd (0.0524, 0.2069, 0.7395)
Cd (0.5582, 0.2585, 0.5572)
Cd (0.7415, 0.4418, 0.4428)
Cd (0.7931, 0.9476, 0.2605)
Hg (0.1648, 0.1555, 0.4237)
Hg (0.3433, 0.6522, 0.1585)
Hg (0.3451, 0.1979, 0.1206)
Hg (0.3478, 0.6567, 0.8415)
Hg (0.5226, 0.1457, 0.8373)
Hg (0.8021, 0.6549, 0.8794)
Hg (0.8445, 0.8352, 0.5763)
Hg (0.8543, 0.4774, 0.1627)
Bi (0.2931, 0.7069, 0.5000)

=====

For Ba4InGa, a GGA-PBE-relaxed structure gives the calculated powder XRD pattern in this record (Cu Kα X-rays).
Neutral-atom scattering factors, no anomalous dispersion.

Main lines, in order of rising 2θ (2θ from 10° to 80°):
d/Å  two_theta  Rel. int.
5.663  15.6  28.4
3.877  22.9  100.0
3.845  23.1  58.5
3.588  24.8  34.0
2.960  30.2  45.0
2.883  31.0  28.5
2.618  34.2  31.9
2.395  37.5  71.0

Crystal structure
Lattice parameters (Å, degrees): 8.0827 8.0827 5.2369 90.00 90.00 91.04
Fractional coordinates of all 6 atoms:
Ba (0.2096, 0.7904, 0.0000)
Ba (0.3086, 0.3086, 0.5000)
Ba (0.6914, 0.6914, 0.5000)
Ba (0.7904, 0.2096, 0.0000)
In (0.0000, 0.0000, 0.5000)
Ga (0.5000, 0.5000, 0.0000)

=====

For CrRe2Pt, a GGA-PBE-relaxed structure gives the calculated powder XRD pattern in this record (Cu Kα X-rays).
Neutral-atom scattering factors, no anomalous dispersion.

Main lines, in order of rising 2θ (2θ from 10° to 80°):
d/Å  two_theta  Rel. int.
3.801  23.4  5.1
3.458  25.8  14.4
2.745  32.6  4.5
2.226  40.5  100.0
1.941  46.8  33.2
1.901  47.9  15.5
1.373  68.3  10.7
1.358  69.2  20.7

Crystal structure
Lattice parameters (Å, degrees): 4.6888 4.6888 4.6888 131.08 131.08 71.68
Fractional coordinates of all 4 atoms:
Cr (0.0000, 0.0000, 0.0000)
Re (0.2500, 0.7500, 0.5000)
Re (0.5000, 0.5000, 0.0000)
Pt (0.7500, 0.2500, 0.5000)